# 1
Computed powder XRD pattern
Compound: KCdSn
Radiation: Cu Kα (weighted mean of Kα1 and Kα2)
Structure: the PBE geometry in Alexandria
Neutral-atom scattering factors, no anomalous dispersion.

Cell and atoms:
```
KCdSn
1.0
6.616 0.000 0.000
-0.233 6.978 0.000
-0.400 -2.575 8.496
K Cd Sn
4 4 4
Direct
0.008 0.349 0.307
0.317 0.895 0.150
0.683 0.105 0.850
0.992 0.651 0.693
0.183 0.096 0.601
0.500 0.436 0.203
0.500 0.564 0.797
0.817 0.904 0.399
0.180 0.370 0.942
0.459 0.732 0.520
0.541 0.268 0.480
0.820 0.630 0.058
```

Largest 12 diffraction maxima, by angle, 15° ≤ 2θ ≤ 90°:
2theta  I (rel.)
17.48  25
18.44  34
28.75  36
30.68  34
30.79  46
31.51  29
31.94  100
32.97  25
33.59  47
35.18  62
37.92  29
39.86  31

***

# 2
Computed powder XRD pattern
Compound: KCd4Sn2
Radiation: Cu Kα (weighted mean of Kα1 and Kα2)
Structure: the PBE geometry in Alexandria
Neutral-atom scattering factors, no anomalous dispersion.

Cell and atoms:
```
KCd4Sn2
1.0
2.371 -8.610 0.000
2.371 8.610 0.000
0.000 0.000 4.739
K Cd Sn
1 4 2
Direct
0.000 0.000 0.000
0.188 0.812 0.500
0.309 0.691 0.000
0.691 0.309 0.000
0.812 0.188 0.500
0.413 0.587 0.500
0.587 0.413 0.500
```

Largest 12 diffraction maxima, by angle, 15° ≤ 2θ ≤ 90°:
2theta  I (rel.)
18.73  15
19.41  17
30.89  87
32.12  13
37.44  100
37.96  70
54.77  24
57.87  18
64.21  19
67.20  14
68.23  35
77.48  13

***

# 3
Computed powder XRD pattern
Compound: K3Cd2Sn
Radiation: Cu Kα (weighted mean of Kα1 and Kα2)
Structure: the PBE geometry in Alexandria
Neutral-atom scattering factors, no anomalous dispersion.

Cell and atoms:
```
K3Cd2Sn
1.0
5.731 -5.422 0.000
5.731 5.422 0.000
-2.162 0.000 8.543
K Cd Sn
6 4 2
Direct
0.141 0.859 0.750
0.237 0.379 0.011
0.379 0.237 0.511
0.621 0.763 0.489
0.763 0.621 0.989
0.859 0.141 0.250
0.058 0.563 0.378
0.437 0.942 0.122
0.563 0.058 0.878
0.942 0.437 0.622
0.188 0.812 0.250
0.812 0.188 0.750
```

Largest 12 diffraction maxima, by angle, 15° ≤ 2θ ≤ 90°:
2theta  I (rel.)
16.35  58
16.70  100
25.43  17
25.92  13
28.72  51
29.33  28
33.76  14
33.90  18
35.71  25
37.86  22
40.21  13
44.79  14

***

# 4
Computed powder XRD pattern
Compound: K3Cd2Sn2
Radiation: Cu Kα (weighted mean of Kα1 and Kα2)
Structure: the PBE geometry in Alexandria
Neutral-atom scattering factors, no anomalous dispersion.

Cell and atoms:
```
K3Cd2Sn2
1.0
6.964 0.000 0.000
0.000 9.196 0.000
0.000 0.000 15.897
K Cd Sn
12 8 8
Direct
0.119 0.110 0.102
0.119 0.110 0.398
0.119 0.390 0.602
0.119 0.390 0.898
0.330 0.732 0.750
0.330 0.768 0.250
0.670 0.232 0.750
0.670 0.268 0.250
0.881 0.610 0.102
0.881 0.610 0.398
0.881 0.890 0.602
0.881 0.890 0.898
0.385 0.039 0.597
0.385 0.039 0.903
0.385 0.461 0.097
0.385 0.461 0.403
0.615 0.539 0.597
0.615 0.539 0.903
0.615 0.961 0.097
0.615 0.961 0.403
0.173 0.096 0.750
0.173 0.404 0.250
0.380 0.750 0.000
0.380 0.750 0.500
0.620 0.250 0.000
0.620 0.250 0.500
0.827 0.596 0.750
0.827 0.904 0.250
```

Largest 12 diffraction maxima, by angle, 15° ≤ 2θ ≤ 90°:
2theta  I (rel.)
16.92  100
27.39  21
28.72  28
29.71  32
31.90  44
32.27  80
32.43  43
35.64  21
39.23  23
40.84  23
41.38  24
61.59  20

***

# 5
Computed powder XRD pattern
Compound: KCdSn3
Radiation: Cu Kα (weighted mean of Kα1 and Kα2)
Structure: the PBE geometry in Alexandria
Neutral-atom scattering factors, no anomalous dispersion.

Cell and atoms:
```
KCdSn3
1.0
-2.402 2.709 6.060
2.402 -2.709 6.060
2.402 2.709 -6.060
K Cd Sn
1 1 3
Direct
0.000 0.000 0.000
0.378 0.378 0.000
0.237 0.737 0.500
0.615 0.615 0.000
0.763 0.263 0.500
```

Largest 12 diffraction maxima, by angle, 15° ≤ 2θ ≤ 90°:
2theta  I (rel.)
17.93  16
19.88  23
28.88  100
33.07  39
37.44  28
38.88  77
40.78  18
44.46  15
50.80  23
56.53  26
62.96  17
68.50  15

***

# 6
Computed powder XRD pattern
Compound: K3Cd3Sn2
Radiation: Cu Kα (weighted mean of Kα1 and Kα2)
Structure: the PBE geometry in Alexandria
Neutral-atom scattering factors, no anomalous dispersion.

Cell and atoms:
```
K3Cd3Sn2
1.0
2.644 -6.039 0.000
2.644 6.039 0.000
0.000 0.000 17.402
K Cd Sn
6 6 4
Direct
0.074 0.926 0.750
0.403 0.597 0.606
0.403 0.597 0.894
0.597 0.403 0.106
0.597 0.403 0.394
0.926 0.074 0.250
0.116 0.884 0.532
0.116 0.884 0.968
0.241 0.759 0.250
0.759 0.241 0.750
0.884 0.116 0.032
0.884 0.116 0.468
0.298 0.702 0.094
0.298 0.702 0.406
0.702 0.298 0.594
0.702 0.298 0.906
```

Largest 12 diffraction maxima, by angle, 15° ≤ 2θ ≤ 90°:
2theta  I (rel.)
19.02  66
21.24  29
27.56  77
28.33  100
29.62  30
30.83  24
31.36  30
33.45  29
33.91  75
34.78  37
38.18  46
40.80  56